1.
Diffraction record for MgNiW2O8. The X-ray powder pattern is calculated, not measured: it uses a DFT-relaxed cell (PBE+U, the Materials Project) and a wavelength of 1.5418 Å.
Kinematic intensities with the Lorentz-polarization factor, no thermal factor.

Largest 10 diffraction maxima, sorted by position, 2θ = 10–90°:
| d/Å | two_theta | Rel. int. |
| --- | --- | --- |
| 4.846 | 18.31 | 100 |
| 4.528 | 19.60 | 46 |
| 3.799 | 23.41 | 49 |
| 3.752 | 23.72 | 52 |
| 3.238 | 27.55 | 69 |
| 3.161 | 28.24 | 68 |
| 3.102 | 28.78 | 38 |
| 2.805 | 31.91 | 57 |
| 2.791 | 32.06 | 54 |
| 2.515 | 35.70 | 38 |

Lattice parameters (Å, degrees): 5.031 5.755 5.842 70.37 89.03 64.70
Positions (direct):
Mg1 0.000 0.000 0.000
Ni1 0.523 0.955 0.697
W1 0.294 0.426 0.046
W2 0.763 0.469 0.385
O1 0.198 0.242 0.381
O2 0.264 0.195 0.903
O3 0.295 0.720 0.795
O4 0.355 0.660 0.252
O5 0.708 0.234 0.164
O6 0.748 0.192 0.656
O7 0.769 0.700 0.523
O8 0.860 0.681 0.043

2.
Diffraction record for SrMoP2O8. The X-ray powder pattern is calculated, not measured: it uses a DFT-relaxed cell (PBE+U, the Materials Project) and a wavelength of 1.5418 Å.
Kinematic intensities with the Lorentz-polarization factor, no thermal factor.

Largest 10 diffraction maxima, sorted by position, 2θ = 10–90°:
| d/Å | two_theta | Rel. int. |
| --- | --- | --- |
| 6.480 | 13.66 | 34 |
| 5.249 | 16.89 | 33 |
| 4.362 | 20.36 | 48 |
| 4.257 | 20.87 | 36 |
| 4.018 | 22.13 | 52 |
| 3.274 | 27.24 | 100 |
| 3.048 | 29.30 | 33 |
| 3.016 | 29.61 | 77 |
| 2.891 | 30.93 | 33 |
| 1.811 | 50.38 | 29 |

Lattice parameters (Å, degrees): 5.720 7.135 9.338 111.18 100.86 98.01
Positions (direct):
Sr1 0.244 0.259 0.026
Sr2 0.756 0.741 0.974
Mo1 0.336 0.656 0.437
Mo2 0.664 0.344 0.563
P1 0.155 0.466 0.698
P2 0.392 0.940 0.230
P3 0.608 0.060 0.770
P4 0.845 0.534 0.302
O1 0.008 0.748 0.426
O2 0.048 0.401 0.294
O3 0.170 0.943 0.112
O4 0.281 0.487 0.862
O5 0.355 0.726 0.251
O6 0.360 0.529 0.617
O7 0.373 0.024 0.817
O8 0.407 0.110 0.400
O9 0.593 0.890 0.600
O10 0.627 0.976 0.183
O11 0.640 0.471 0.383
O12 0.645 0.274 0.749
O13 0.719 0.513 0.138
O14 0.830 0.057 0.888
O15 0.952 0.599 0.706
O16 0.992 0.252 0.574

3.
Diffraction record for MoO2. The X-ray powder pattern is calculated, not measured: it uses a DFT-relaxed cell (PBE+U, the Materials Project) and a wavelength of 1.5418 Å.
Kinematic intensities with the Lorentz-polarization factor, no thermal factor.

Largest 10 diffraction maxima, sorted by position, 2θ = 10–90°:
| d/Å | two_theta | Rel. int. |
| --- | --- | --- |
| 5.297 | 16.74 | 53 |
| 4.313 | 20.59 | 31 |
| 3.115 | 28.65 | 47 |
| 3.038 | 29.40 | 45 |
| 2.781 | 32.19 | 100 |
| 2.599 | 34.51 | 38 |
| 1.996 | 45.45 | 18 |
| 1.814 | 50.29 | 18 |
| 1.700 | 53.93 | 26 |
| 1.558 | 59.33 | 35 |

Lattice parameters (Å, degrees): 6.253 6.253 6.253 121.85 115.08 92.77
Positions (direct):
Mo1 0.000 0.000 0.000
Mo2 0.370 0.620 0.750
Mo3 0.500 0.000 0.500
Mo4 0.630 0.380 0.250
O1 0.249 0.231 0.481
O2 0.249 0.768 0.019
O3 0.286 0.245 0.041
O4 0.296 0.755 0.541
O5 0.704 0.245 0.459
O6 0.714 0.755 0.959
O7 0.751 0.232 0.981
O8 0.751 0.769 0.519

4.
Diffraction record for MgMnGe2O6. The X-ray powder pattern is calculated, not measured: it uses a DFT-relaxed cell (PBE+U, the Materials Project) and a wavelength of 1.5418 Å.
Kinematic intensities with the Lorentz-polarization factor, no thermal factor.

Largest 10 diffraction maxima, sorted by position, 2θ = 10–90°:
| d/Å | two_theta | Rel. int. |
| --- | --- | --- |
| 4.632 | 19.16 | 22 |
| 3.473 | 25.65 | 39 |
| 3.344 | 26.66 | 17 |
| 3.133 | 28.49 | 100 |
| 3.040 | 29.38 | 85 |
| 2.672 | 33.54 | 32 |
| 2.623 | 34.18 | 43 |
| 2.585 | 34.70 | 39 |
| 1.692 | 54.21 | 27 |
| 1.461 | 63.72 | 25 |

Lattice parameters (Å, degrees): 9.962 9.268 5.504 90.00 104.16 90.00
Positions (direct):
Mg1 0.245 0.013 0.444
Mg2 0.245 0.487 0.944
Mg3 0.755 0.513 0.056
Mg4 0.755 0.987 0.556
Mn1 0.244 0.653 0.454
Mn2 0.244 0.847 0.954
Mn3 0.756 0.153 0.046
Mn4 0.756 0.347 0.546
Ge1 0.057 0.163 0.820
Ge2 0.057 0.337 0.320
Ge3 0.458 0.157 0.245
Ge4 0.458 0.343 0.745
Ge5 0.542 0.657 0.255
Ge6 0.542 0.843 0.755
Ge7 0.943 0.663 0.680
Ge8 0.943 0.837 0.180
O1 0.107 0.178 0.164
O2 0.107 0.322 0.664
O3 0.126 0.656 0.749
O4 0.126 0.844 0.249
O5 0.143 0.022 0.719
O6 0.143 0.478 0.219
O7 0.361 0.655 0.170
O8 0.361 0.845 0.670
O9 0.373 0.508 0.702
O10 0.373 0.992 0.202
O11 0.387 0.216 0.502
O12 0.387 0.284 0.002
O13 0.613 0.716 0.998
O14 0.613 0.784 0.498
O15 0.627 0.008 0.798
O16 0.627 0.492 0.298
O17 0.639 0.155 0.330
O18 0.639 0.345 0.830
O19 0.857 0.522 0.781
O20 0.857 0.978 0.281
O21 0.874 0.156 0.751
O22 0.874 0.344 0.251
O23 0.893 0.678 0.336
O24 0.893 0.822 0.836